The following is a theoretical PXRD pattern of SmGa3Pt. It was derived from a GGA-PBE-relaxed structure, using a wavelength of 1.5418 Å.
Lines closer than 0.1° are merged.

Structural model:
Unit cell a=4.1728 b=4.1728 c=10.9325 alpha=90.00 beta=90.00 gamma=90.00
Space group I-4m2 (No. 119)
Symmetry-distinct sites (fractional):
Sm (0.0000, 0.0000, 0.0000)
Ga (0.0000, 0.0000, 0.3879)
Ga (0.0000, 0.5000, 0.2500)
Pt (0.0000, 0.5000, 0.7500)

The 10 most intense peaks (2θ = 10–90°), low angle first:
(hkl), 2θ (°), I_rel
1 0 1, 22.81, 22
1 0 3, 32.62, 39
1 1 2, 34.54, 100
2 0 0, 43.37, 44
1 1 4, 45.22, 16
1 0 5, 46.91, 21
2 0 4, 55.34, 28
2 2 0, 63.01, 14
2 1 5, 65.79, 15
3 1 2, 73.89, 22